No. 1
The following is a theoretical X-ray diffraction stick pattern of ZnCu6Ir. It was derived from DFT lattice parameters and positions (PBE), using Cu Kα.
Neutral-atom scattering factors, no anomalous dispersion.

Most intense lines, 2θ = 15–90°, in order of rising 2θ:
two_theta, I_rel
23.17, 47
28.00, 75
31.16, 24
38.46, 29
42.47, 59
43.72, 85
44.47, 100
46.74, 71
47.37, 20
51.06, 28
70.96, 24
79.79, 24

Crystal structure
```
ZnCu6Ir
1.0
2.4039 1.3879 6.6032
-2.4039 1.3879 6.6032
0.0000 -2.7758 6.6032
Zn Cu Ir
1 6 1
Cartesian
0.0000 0.0000 0.0000
0.0000 -1.3887 4.5243
-1.2027 0.6944 4.5243
-1.2027 -0.6944 15.2853
1.2027 0.6944 4.5243
1.2027 -0.6944 15.2853
0.0000 1.3887 15.2853
0.0000 0.0000 9.9048
```

No. 2
The following is a theoretical X-ray diffraction stick pattern of Pm3PrHoTh. It was derived from DFT lattice parameters and positions (PBE), using Cu Kα.
Neutral-atom scattering factors, no anomalous dispersion.

Most intense lines, 2θ = 15–90°, in order of rising 2θ:
two_theta, I_rel
30.15, 100
34.95, 51
50.25, 30
50.33, 6
59.70, 22
59.77, 21
62.63, 6
62.74, 6
73.83, 6
81.64, 3
81.77, 12
84.37, 11

Crystal structure
```
Pm3PrHoTh
1.0
8.1231 0.0000 0.0000
0.0000 5.1334 0.0000
-3.2712 0.0000 9.7361
Pm Pr Ho Th
6 2 2 2
Cartesian
1.2591 1.2834 0.4348
-0.3244 1.2834 5.2988
0.4968 3.8501 2.8717
4.3551 1.2834 6.8644
5.1763 3.8501 4.4373
3.5928 3.8501 9.3013
-1.2046 3.8501 7.7149
6.0566 1.2834 2.0213
1.2088 1.2834 8.4881
3.6431 3.8501 1.2480
2.8191 1.2834 3.6811
2.0328 3.8501 6.0550
```

No. 3
The following is a theoretical X-ray diffraction stick pattern of Sm4Dy4Er. It was derived from DFT lattice parameters and positions (PBE), using Cu Kα.
Neutral-atom scattering factors, no anomalous dispersion.

Most intense lines, 2θ = 15–90°, in order of rising 2θ:
two_theta, I_rel
30.64, 100
35.52, 51
51.11, 36
60.74, 29
60.85, 14
63.79, 12
75.12, 4
75.33, 2
83.27, 6
83.37, 12
85.95, 11
86.13, 6

Crystal structure
```
Sm4Dy4Er
1.0
-5.3654 5.3654 2.5233
5.3654 -5.3654 2.5233
5.3654 5.3654 -2.5233
Sm Dy Er
4 4 1
Cartesian
1.7862 1.7862 0.0000
3.5792 -3.5792 2.5233
-3.5792 3.5792 2.5233
3.5792 3.5792 2.5233
5.3654 1.7822 0.0000
1.7822 5.3654 0.0000
3.5832 0.0000 2.5233
0.0000 3.5832 2.5233
0.0000 0.0000 2.5233
```

No. 4
The following is a theoretical X-ray diffraction stick pattern of Ho2Sc4As3N2. It was derived from DFT lattice parameters and positions (PBE), using Cu Kα.
Neutral-atom scattering factors, no anomalous dispersion.

Most intense lines, 2θ = 15–90°, in order of rising 2θ:
two_theta, I_rel
23.93, 52
29.68, 55
30.71, 76
31.21, 33
34.56, 48
38.06, 100
42.48, 73
50.01, 21
53.64, 28
55.87, 24
61.63, 23
74.78, 26

Crystal structure
```
Ho2Sc4As3N2
1.0
-2.1282 2.1282 11.4625
2.1282 -2.1282 11.4625
2.1282 2.1282 -11.4625
Ho Sc As N
2 4 3 2
Cartesian
0.0000 0.0000 4.4617
0.0000 0.0000 18.4632
2.1282 0.0000 1.8154
2.1282 0.0000 9.6471
0.0000 2.1282 1.8154
0.0000 2.1282 9.6471
0.0000 0.0000 7.4477
0.0000 0.0000 11.4625
0.0000 0.0000 15.4772
0.0000 0.0000 2.1562
0.0000 0.0000 20.7687
```

No. 5
The following is a theoretical X-ray diffraction stick pattern of NaLiLu2F8. It was derived from DFT lattice parameters and positions (PBE), using Cu Kα.
Neutral-atom scattering factors, no anomalous dispersion.

Most intense lines, 2θ = 15–90°, in order of rising 2θ:
two_theta, I_rel
17.13, 50
18.78, 44
21.68, 75
25.57, 55
27.76, 31
30.91, 100
33.76, 23
38.10, 21
44.22, 51
47.11, 31
48.53, 35
58.62, 21

Crystal structure
```
NaLiLu2F8
1.0
5.1765 -4.0987 0.0000
5.1765 4.0987 0.0000
0.0000 0.0000 6.9682
Na Li Lu F
2 2 4 16
Cartesian
5.1765 2.8195 5.2261
5.1765 -2.8195 1.7420
5.1765 0.0000 0.0000
5.1765 0.0000 3.4841
3.2330 2.1495 1.7420
7.1200 2.1495 1.7420
3.2330 -2.1495 5.2261
7.1200 -2.1495 5.2261
5.1765 3.1694 1.7420
3.7411 1.6745 3.8263
3.7411 1.6745 6.6259
2.2951 0.2004 1.7420
2.2951 -0.2004 5.2261
5.1765 0.7092 1.7420
6.6120 1.6745 3.8263
6.6120 1.6745 6.6259
3.7411 -1.6745 0.3422
3.7411 -1.6745 3.1418
5.1765 -0.7092 5.2261
8.0579 0.2004 1.7420
8.0579 -0.2004 5.2261
6.6120 -1.6745 0.3422
6.6120 -1.6745 3.1418
5.1765 -3.1694 5.2261
```

No. 6
The following is a theoretical X-ray diffraction stick pattern of TbUZn4. It was derived from DFT lattice parameters and positions (PBE), using Cu Kα.
Neutral-atom scattering factors, no anomalous dispersion.

Most intense lines, 2θ = 15–90°, in order of rising 2θ:
two_theta, I_rel
19.97, 18
32.89, 66
38.77, 100
40.57, 15
51.73, 5
58.72, 26
62.67, 32
68.97, 23
72.62, 4
78.54, 12
82.04, 12
83.20, 5

Crystal structure
```
TbUZn4
1.0
0.0000 3.8513 3.8513
3.8513 0.0000 3.8513
3.8513 3.8513 0.0000
Tb U Zn
1 1 4
Cartesian
0.0000 0.0000 0.0000
5.7769 5.7769 5.7769
2.8892 2.8892 2.8892
4.8134 4.8134 2.8892
4.8134 2.8892 4.8134
2.8892 4.8134 4.8134
```

No. 7
The following is a theoretical X-ray diffraction stick pattern of Rb2TlBi2. It was derived from DFT lattice parameters and positions (PBE), using Cu Kα.
Neutral-atom scattering factors, no anomalous dispersion.

Most intense lines, 2θ = 15–90°, in order of rising 2θ:
two_theta, I_rel
15.85, 35
17.43, 52
25.34, 41
25.91, 42
28.30, 40
28.49, 50
28.69, 58
29.97, 59
30.34, 100
31.96, 67
38.26, 33
50.81, 33

Crystal structure
```
Rb2TlBi2
1.0
6.1295 -3.7790 0.0000
6.1295 3.7790 0.0000
-1.8740 0.0000 9.5807
Rb Tl Bi
4 2 4
Cartesian
1.5918 1.0332 1.3499
0.6548 -1.0332 6.1402
9.7303 1.0332 3.4405
8.7933 -1.0332 8.2309
5.6610 0.4959 2.3952
4.7240 -0.4959 7.1856
3.5534 1.1903 4.7262
7.7687 1.1903 0.0642
2.6164 -1.1903 9.5165
6.8317 -1.1903 4.8546
```

No. 8
The following is a theoretical X-ray diffraction stick pattern of SrNbNiAg. It was derived from DFT lattice parameters and positions (PBE), using Cu Kα.
Neutral-atom scattering factors, no anomalous dispersion.

Most intense lines, 2θ = 15–90°, in order of rising 2θ:
two_theta, I_rel
29.19, 19
36.05, 100
36.27, 13
37.90, 63
45.51, 12
53.46, 16
54.67, 21
63.60, 6
67.25, 30
67.39, 8
69.12, 10
81.00, 6

Crystal structure
```
SrNbNiAg
1.0
3.3576 0.0000 0.0000
0.0000 3.3576 0.0000
0.0000 0.0000 7.4307
Sr Nb Ni Ag
1 1 1 1
Cartesian
0.0000 0.0000 0.0000
0.0000 0.0000 3.3516
1.6788 1.6788 2.3514
1.6788 1.6788 5.0964
```